Entry 1:
This entry pairs a crystal structure of SmS with its calculated powder X-ray diffraction pattern. Radiation: copper Kα. Structure: a cell relaxed with GGA-PBE.
Kinematic intensities with the Lorentz-polarization factor, no thermal factor.

Cell and atoms:
a b c (Å): 3.9874 4.0202 5.6621
angles (deg): 90.00 90.00 90.00
Space group Immm (No. 71)
Unique sites:
Sm 0.0000 0.0000 0.0000
S 0.0000 0.0000 0.5000

Top 6 peaks for 15° ≤ 2θ ≤ 90°, in order of rising 2θ:
2θ/deg, I/Imax, h k l
27.20, 39, 0 1 1
27.36, 38, 1 0 1
31.60, 100, 1 1 0
45.30, 48, 1 1 2
53.59, 19, 1 2 1
75.02, 21, 2 2 2



Entry 2:
This entry pairs a crystal structure of Cs2K2NaReO6 with its calculated powder X-ray diffraction pattern. Radiation: copper Kα. Structure: a cell relaxed with GGA-PBE.
Kinematic intensities with the Lorentz-polarization factor, no thermal factor.

Cell and atoms:
a b c (Å): 6.3278 11.3217 6.6519
angles (deg): 90.00 117.03 90.00
Space group C2/m (No. 12)
Unique sites:
Cs 0.0000 0.1752 0.0000
K 0.0000 0.3332 0.5000
Na 0.0000 0.5000 0.0000
Re 0.0000 0.0000 0.5000
O 0.1776 0.0000 0.3333
O 0.2095 0.1189 0.6986

Top 6 peaks for 15° ≤ 2θ ≤ 90°, in order of rising 2θ:
2θ/deg, I/Imax, h k l
17.58, 95, 1 1 0
21.71, 70, 0 2 1
28.64, 100, 1 3 -1
30.17, 42, 0 0 2
32.41, 74, 2 0 -2
35.62, 90, 1 3 1



Entry 3:
This entry pairs a crystal structure of YTlCdSe3 with its calculated powder X-ray diffraction pattern. Radiation: copper Kα. Structure: a cell relaxed with GGA-PBE.
Kinematic intensities with the Lorentz-polarization factor, no thermal factor.

Cell and atoms:
a b c (Å): 8.3542 4.2382 10.6251
angles (deg): 90.00 107.66 90.00
Space group P2_1/m (No. 11)
Unique sites:
Y 0.1886 0.2500 0.1337
Tl 0.2405 0.7500 0.7293
Cd 0.4256 0.7500 0.3863
Se 0.0440 0.2500 0.8573
Se 0.2527 0.2500 0.4346
Se 0.4281 0.7500 0.1395

Top 6 peaks for 15° ≤ 2θ ≤ 90°, in order of rising 2θ:
2θ/deg, I/Imax, h k l
27.55, 56, 1 1 -2
30.11, 100, 2 1 -1
31.77, 51, 1 0 3
33.11, 31, 1 1 -3
33.97, 65, 2 1 1
42.65, 47, 0 2 0



Entry 4:
This entry pairs a crystal structure of Dy2Er3Tm2Ni2Te2 with its calculated powder X-ray diffraction pattern. Radiation: copper Kα. Structure: a cell relaxed with GGA-PBE.
Kinematic intensities with the Lorentz-polarization factor, no thermal factor.

Cell and atoms:
a b c (Å): 3.8374 15.5232 9.5102
angles (deg): 90.00 90.00 90.00
Space group Imm2 (No. 44)
Unique sites:
Dy 0.0000 0.1465 0.0000
Er 0.0000 0.1852 0.6486
Er 0.0000 0.5000 0.2695
Tm 0.0000 0.3668 0.8526
Ni 0.0000 0.2622 0.3414
Te 0.0000 0.0000 0.5043
Te 0.0000 0.5000 0.6075

Top 6 peaks for 15° ≤ 2θ ≤ 90°, in order of rising 2θ:
2θ/deg, I/Imax, h k l
30.48, 51, 1 1 2
33.14, 79, 0 3 3
34.19, 100, 1 4 1
34.68, 75, 0 6 0
47.38, 30, 2 0 0
59.04, 30, 2 3 3



Entry 5:
This entry pairs a crystal structure of HfC8 with its calculated powder X-ray diffraction pattern. Radiation: copper Kα. Structure: a cell relaxed with GGA-PBE.
Kinematic intensities with the Lorentz-polarization factor, no thermal factor.

Cell and atoms:
a b c (Å): 5.0173 5.0173 3.9079
angles (deg): 90.00 90.00 120.00
Space group P6/mmm (No. 191)
Unique sites:
Hf 0.0000 0.0000 0.0000
C 0.1686 0.3372 0.5000
C 0.3333 0.6667 0.5000

Top 6 peaks for 15° ≤ 2θ ≤ 90°, in order of rising 2θ:
2θ/deg, I/Imax, h k l
20.44, 100, 1 0 0
30.77, 75, 1 0 1
35.79, 25, 1 1 0
42.84, 30, 1 1 1
47.91, 32, 2 0 1
61.22, 21, 2 1 1



Entry 6:
This entry pairs a crystal structure of PdS2Br4F2 with its calculated powder X-ray diffraction pattern. Radiation: copper Kα. Structure: a cell relaxed with GGA-PBE.
Kinematic intensities with the Lorentz-polarization factor, no thermal factor.

Cell and atoms:
a b c (Å): 4.4794 6.9293 7.9395
angles (deg): 105.40 101.19 92.66
Space group P-1 (No. 2)
Unique sites:
Pd 0.0000 0.0000 0.0000
S 0.3146 0.2324 0.2332
Br 0.0694 0.5076 0.2428
Br 0.3093 0.1536 0.8328
F 0.2646 0.1880 0.4188

Top 6 peaks for 15° ≤ 2θ ≤ 90°, in order of rising 2θ:
2θ/deg, I/Imax, h k l
25.53, 68, 1 1 0
26.38, 46, 1 -1 1
28.92, 56, 1 1 -2
30.55, 68, 0 1 2
32.11, 100, 1 -2 0
37.06, 47, 1 1 -3



Entry 7:
This entry pairs a crystal structure of Pr3Si4Ni2Pt2 with its calculated powder X-ray diffraction pattern. Radiation: copper Kα. Structure: a cell relaxed with GGA-PBE.
Kinematic intensities with the Lorentz-polarization factor, no thermal factor.

Cell and atoms:
a b c (Å): 4.1224 4.2034 24.1774
angles (deg): 90.00 90.00 90.00
Space group Immm (No. 71)
Unique sites:
Pr 0.0000 0.0000 0.0000
Pr 0.0000 0.5000 0.3566
Si 0.0000 0.0000 0.4494
Si 0.0000 0.5000 0.1919
Ni 0.0000 0.5000 0.0964
Pt 0.0000 0.0000 0.2477

Top 6 peaks for 15° ≤ 2θ ≤ 90°, in order of rising 2θ:
2θ/deg, I/Imax, h k l
29.56, 16, 0 0 8
33.58, 17, 0 1 7
33.88, 100, 1 1 4
37.85, 12, 1 1 6
43.04, 17, 0 2 0
43.93, 16, 2 0 0



Entry 8:
This entry pairs a crystal structure of BaTb2ZnO5 with its calculated powder X-ray diffraction pattern. Radiation: copper Kα. Structure: a cell relaxed with GGA-PBE.
Kinematic intensities with the Lorentz-polarization factor, no thermal factor.

Cell and atoms:
a b c (Å): 12.3902 5.7365 7.0976
angles (deg): 90.00 90.00 90.00
Space group Pnma (No. 62)
Unique sites:
Ba 0.1001 0.2500 0.0766
Tb 0.0744 0.7500 0.3999
Tb 0.2078 0.2500 0.6192
Zn 0.1510 0.7500 0.8079
O 0.0652 0.5025 0.6661
O 0.1000 0.7500 0.0740
O 0.2241 0.0015 0.3575

Top 6 peaks for 15° ≤ 2θ ≤ 90°, in order of rising 2θ:
2θ/deg, I/Imax, h k l
29.47, 100, 3 1 1
30.49, 81, 1 1 2
31.18, 54, 0 2 0
31.51, 23, 4 0 1
44.92, 33, 4 2 1
54.43, 18, 3 3 1